Calculated PXRD pattern of LiMoAsO6 for Cu Kα X-rays, from the PBE+U geometry in the Materials Project.

Most intense lines, 2θ = 10–80°, in order of rising 2θ:
Position (°2θ), I_rel, (hkl)
20.25, 37, 0 1 1
20.97, 57, 2 0 1
22.30, 100, 1 1 1
25.75, 51, 2 1 0
27.05, 57, 2 0 2
28.10, 91, 1 1 2
35.03, 45, 2 0 3
38.91, 34, 4 0 1

Crystal structure
```
data_LiMoAsO6
_chemical_formula_sum 'Li4 Mo4 As4 O24'
_cell_length_a 9.5726
_cell_length_b 5.0057
_cell_length_c 9.0960
_cell_angle_alpha 90.00
_cell_angle_beta 90.00
_cell_angle_gamma 90.00
_space_group_name_H-M_alt 'P n a 21'
_space_group_IT_number 33
_space_group_name_Hall 'P 2c -2n'
loop_
_atom_site_label
_atom_site_fract_x
_atom_site_fract_y
_atom_site_fract_z
Li1 0.1209 0.1035 0.0000
Mo1 0.1614 0.1099 0.6465
As1 0.0515 0.4000 0.3268
O1 0.0045 0.7971 0.6846
O2 0.0161 0.2381 0.4927
O3 0.0239 0.2908 0.8206
O4 0.2336 0.4463 0.3200
O5 0.2446 0.9039 0.1429
O6 0.2498 0.4182 0.0190
```